Entry 1:
Diffraction record for LuH9C5N2O8. The powder XRD pattern is theoretical, not measured: it uses the GGA-PBE geometry in the Materials Project and copper Kα.
Intensities are scaled so that the largest is 100.

Crystal structure
Lattice parameters (Å, degrees): 6.6475 6.6475 6.5372 105.64 105.64 65.71
Fractional positions:
Lu: 0.0000 0.0000 0.0000
H: 0.0864 0.9136 0.5000
H: 0.1935 0.3606 0.4142
H: 0.4446 0.5417 0.8228
H: 0.4583 0.5554 0.1772
H: 0.4688 0.1597 0.1267
H: 0.4828 0.2627 0.5360
H: 0.6394 0.8065 0.5858
H: 0.7373 0.5172 0.4640
H: 0.8403 0.5312 0.8733
C: 0.2896 0.5380 0.7089
C: 0.4620 0.7104 0.2911
C: 0.4737 0.0524 0.9643
C: 0.9341 0.0659 0.5000
C: 0.9476 0.5263 0.0357
N: 0.3219 0.3726 0.5407
N: 0.6274 0.6781 0.4593
O: 0.0148 0.6856 0.1264
O: 0.1013 0.6821 0.7422
O: 0.3144 0.9852 0.8736
O: 0.3179 0.8987 0.2578
O: 0.6455 0.0058 0.8821
O: 0.8485 0.1448 0.6707
O: 0.8552 0.1515 0.3293
O: 0.9942 0.3545 0.1179

Top 12 peaks for 10° ≤ 2θ ≤ 90°, low angle first:
2θ 14.31, I = 46
2θ 14.87, I = 100
2θ 16.76, I = 31
2θ 18.23, I = 23
2θ 18.71, I = 48
2θ 22.50, I = 39
2θ 28.17, I = 25
2θ 30.01, I = 41
2θ 30.86, I = 17
2θ 34.17, I = 16
2θ 35.73, I = 19
2θ 38.33, I = 15

---

Entry 2:
Diffraction record for Sb16Te3. The powder XRD pattern is theoretical, not measured: it uses the GGA-PBE geometry in the Materials Project and copper Kα.
Intensities are scaled so that the largest is 100.

Crystal structure
Lattice parameters (Å, degrees): 36.6534 36.6534 36.6534 6.89 6.89 6.89
Fractional positions:
Sb: 0.0281 0.0281 0.0281
Sb: 0.0762 0.0762 0.0762
Sb: 0.1849 0.1849 0.1849
Sb: 0.2360 0.2360 0.2360
Sb: 0.2919 0.2919 0.2919
Sb: 0.3400 0.3400 0.3400
Sb: 0.3962 0.3962 0.3962
Sb: 0.4442 0.4442 0.4442
Sb: 0.5558 0.5558 0.5558
Sb: 0.6038 0.6038 0.6038
Sb: 0.6600 0.6600 0.6600
Sb: 0.7081 0.7081 0.7081
Sb: 0.7640 0.7640 0.7640
Sb: 0.8151 0.8151 0.8151
Sb: 0.9238 0.9238 0.9238
Sb: 0.9719 0.9719 0.9719
Te: 0.1332 0.1332 0.1332
Te: 0.5000 0.5000 0.5000
Te: 0.8668 0.8668 0.8668

Top 12 peaks for 10° ≤ 2θ ≤ 90°, low angle first:
2θ 28.04, I = 100
2θ 39.14, I = 34
2θ 40.99, I = 38
2θ 47.07, I = 4
2θ 47.23, I = 5
2θ 50.39, I = 19
2θ 57.96, I = 11
2θ 64.28, I = 12
2θ 66.90, I = 17
2θ 73.42, I = 11
2θ 74.66, I = 6
2θ 88.89, I = 4

---

Entry 3:
Diffraction record for FeCuS2. The powder XRD pattern is theoretical, not measured: it uses the GGA-PBE geometry in the Materials Project and copper Kα.
Intensities are scaled so that the largest is 100.

Crystal structure
Lattice parameters (Å, degrees): 3.6367 3.6367 5.3232 90.00 90.00 90.00
Fractional positions:
Fe: 0.0000 0.0000 0.0000
Cu: 0.0000 0.0000 0.5000
S: 0.0000 0.5000 0.7664
S: 0.5000 0.0000 0.2336

Top 12 peaks for 10° ≤ 2θ ≤ 90°, low angle first:
2θ 24.48, I = 100
2θ 29.75, I = 34
2θ 33.67, I = 5
2θ 34.89, I = 9
2θ 42.07, I = 46
2θ 49.27, I = 61
2θ 50.17, I = 29
2θ 56.59, I = 18
2θ 59.42, I = 8
2θ 67.49, I = 20
2θ 73.68, I = 9
2θ 76.17, I = 7